# LaNdEr2Sb4
Simulated powder diffraction line list, Cu Kα X-rays. Input: a crystal structure in Alexandria, relaxed with GGA-PBE.
No peak broadening, texture or thermal motion is included.

Main lines, by angle (10 to 90 degrees two-theta):
h k l, d_spacing, 2θ (°), intensity
1 1 1, 3.158, 28.26, 100
0 2 0, 2.236, 40.34, 39
2 0 2, 2.230, 40.45, 37
0 0 4, 1.825, 49.98, 21
4 0 0, 1.819, 50.16, 6
2 2 2, 1.579, 58.45, 13
1 3 1, 1.414, 66.09, 18
4 2 0, 1.411, 66.25, 17
2 0 -6, 1.290, 73.38, 15
1 1 5, 1.289, 73.43, 4
5 1 1, 1.286, 73.63, 6
0 4 0, 1.118, 87.20, 4

Atomic structure:
Unit cell a=7.7185 b=4.4732 c=7.7425 alpha=90.00 beta=109.53 gamma=90.00
Space group P2/m (No. 10)
Inequivalent atoms, fractional coordinates:
La 0.0000 0.0000 0.0000 [1 per cell]
Nd 0.0000 0.5000 0.5000 [1 per cell]
Er 0.5000 0.0000 0.5000 [1 per cell]
Er 0.5000 0.5000 0.0000 [1 per cell]
Sb 0.2628 0.0000 0.7523 [2 per cell]
Sb 0.2641 0.5000 0.2568 [2 per cell]

***

# La2Nd3Er6Sc
Simulated powder diffraction line list, Cu Kα X-rays. Input: a crystal structure in Alexandria, relaxed with GGA-PBE.
No peak broadening, texture or thermal motion is included.

Main lines, by angle (10 to 90 degrees two-theta):
h k l, d_spacing, 2θ (°), intensity
1 3 1, 2.914, 30.68, 100
0 0 4, 2.900, 30.83, 33
2 0 2, 2.521, 35.62, 67
0 6 0, 1.786, 51.15, 24
1 3 5, 1.779, 51.35, 24
4 0 0, 1.522, 60.89, 33
3 3 -5, 1.520, 60.94, 9
2 0 6, 1.517, 61.11, 14
2 6 2, 1.457, 63.88, 8
4 6 0, 1.159, 83.42, 12
5 3 1, 1.129, 86.13, 11
3 3 7, 1.126, 86.45, 11

Atomic structure:
Unit cell a=6.1853 b=10.7157 c=11.7814 alpha=90.00 beta=100.07 gamma=90.00
Space group C2/m (No. 12)
Inequivalent atoms, fractional coordinates:
La 0.0000 0.1659 0.0000 [4 per cell]
Nd 0.0000 0.0000 0.5000 [2 per cell]
Nd 0.0000 0.3332 0.5000 [4 per cell]
Er 0.2472 0.5000 0.7508 [4 per cell]
Er 0.2475 0.3351 0.2487 [8 per cell]
Sc 0.0000 0.5000 0.0000 [2 per cell]

***

# LaNd4Er2Sc
Simulated powder diffraction line list, Cu Kα X-rays. Input: a crystal structure in Alexandria, relaxed with GGA-PBE.
No peak broadening, texture or thermal motion is included.

Main lines, by angle (10 to 90 degrees two-theta):
h k l, d_spacing, 2θ (°), intensity
1 1 2, 2.933, 30.48, 100
0 2 0, 2.547, 35.24, 17
2 0 0, 2.536, 35.40, 34
2 2 0, 1.797, 50.81, 24
2 0 4, 1.793, 50.93, 12
1 3 2, 1.535, 60.31, 14
3 1 2, 1.530, 60.52, 28
2 2 4, 1.466, 63.44, 12
3 3 2, 1.166, 82.78, 12
3 1 6, 1.164, 82.97, 6
2 4 0, 1.138, 85.28, 5
4 0 4, 1.135, 85.61, 5

Atomic structure:
Unit cell a=5.0759 b=5.0942 c=10.1355 alpha=90.00 beta=90.00 gamma=90.00
Space group Pmmm (No. 47)
Inequivalent atoms, fractional coordinates:
La 0.0000 0.0000 0.0000 [1 per cell]
Nd 0.0000 0.5000 0.2503 [2 per cell]
Nd 0.5000 0.0000 0.2505 [2 per cell]
Er 0.0000 0.0000 0.5000 [1 per cell]
Er 0.5000 0.5000 0.5000 [1 per cell]
Sc 0.5000 0.5000 0.0000 [1 per cell]

***

# LaNdSm2Er2
Simulated powder diffraction line list, Cu Kα X-rays. Input: a crystal structure in Alexandria, relaxed with GGA-PBE.
No peak broadening, texture or thermal motion is included.

Main lines, by angle (10 to 90 degrees two-theta):
h k l, d_spacing, 2θ (°), intensity
0 1 1, 3.366, 26.48, 35
2 2 0, 3.096, 28.84, 99
0 6 0, 3.045, 29.33, 100
0 3 1, 2.985, 29.93, 98
1 2 1, 2.883, 31.02, 34
1 6 0, 2.765, 32.37, 44
2 4 0, 2.671, 33.56, 56
1 4 1, 2.530, 35.48, 43
2 3 1, 2.211, 40.81, 66
1 9 1, 1.689, 54.32, 34
2 2 2, 1.499, 61.92, 27
2 4 2, 1.441, 64.67, 26

Atomic structure:
Unit cell a=6.5813 b=18.2844 c=3.4244 alpha=90.00 beta=90.00 gamma=90.00
Space group Pnnm (No. 58)
Inequivalent atoms, fractional coordinates:
La 0.0000 0.0000 0.0000 [2 per cell]
Nd 0.0000 0.5000 0.0000 [2 per cell]
Sm 0.2163 0.1899 0.0000 [4 per cell]
Er 0.2148 0.3523 0.5000 [4 per cell]

***

# LaNdSm2Er4
Simulated powder diffraction line list, Cu Kα X-rays. Input: a crystal structure in Alexandria, relaxed with GGA-PBE.
No peak broadening, texture or thermal motion is included.

Main lines, by angle (10 to 90 degrees two-theta):
h k l, d_spacing, 2θ (°), intensity
2 2 0, 2.930, 30.50, 100
2 0 2, 2.558, 35.08, 35
0 4 0, 2.499, 35.94, 16
0 0 4, 1.811, 50.38, 6
4 0 0, 1.806, 50.53, 6
2 4 2, 1.788, 51.10, 24
2 2 4, 1.540, 60.08, 22
4 2 2, 1.537, 60.21, 7
2 6 0, 1.513, 61.25, 14
0 4 4, 1.466, 63.43, 6
4 4 0, 1.464, 63.55, 6
2 6 4, 1.161, 83.22, 9

Atomic structure:
Unit cell a=7.2257 b=9.9960 c=7.2445 alpha=90.00 beta=90.11 gamma=90.00
Space group P2/m (No. 10)
Inequivalent atoms, fractional coordinates:
La 0.0000 0.0000 0.0000 [1 per cell]
La 0.5000 0.0000 0.0000 [1 per cell]
Nd 0.0000 0.0000 0.5000 [1 per cell]
Nd 0.0000 0.5000 0.0000 [1 per cell]
Sm 0.0000 0.5000 0.5000 [1 per cell]
Sm 0.5000 0.0000 0.5000 [1 per cell]
Sm 0.5000 0.5000 0.0000 [1 per cell]
Sm 0.5000 0.5000 0.5000 [1 per cell]
Er 0.2506 0.2522 0.2521 [4 per cell]
Er 0.2509 0.2523 0.7480 [4 per cell]

***

# LaTbNdEr
Simulated powder diffraction line list, Cu Kα X-rays. Input: a crystal structure in Alexandria, relaxed with GGA-PBE.
No peak broadening, texture or thermal motion is included.

Main lines, by angle (10 to 90 degrees two-theta):
h k l, d_spacing, 2θ (°), intensity
1 1 2, 2.963, 30.16, 100
2 0 0, 2.573, 34.88, 34
0 0 4, 2.554, 35.14, 17
2 2 0, 1.819, 50.15, 12
2 0 4, 1.812, 50.35, 24
3 1 2, 1.550, 59.64, 29
1 1 6, 1.542, 59.99, 14
2 2 4, 1.482, 62.71, 12
3 3 2, 1.180, 81.59, 6
3 1 6, 1.176, 81.90, 12
4 2 0, 1.150, 84.15, 6
4 0 4, 1.149, 84.30, 6

Atomic structure:
Unit cell a=5.1451 b=5.1451 c=10.2156 alpha=90.00 beta=90.00 gamma=90.00
Space group I-4m2 (No. 119)
Inequivalent atoms, fractional coordinates:
La 0.0000 0.0000 0.0000 [2 per cell]
Tb 0.0000 0.0000 0.5000 [2 per cell]
Nd 0.0000 0.5000 0.7500 [2 per cell]
Er 0.0000 0.5000 0.2500 [2 per cell]